Computed powder XRD pattern of Sr2SCl for λ = 1.5418 Å (Cu Kα), from the GGA-PBE geometry in Alexandria.
Intensities are scaled so that the largest is 100.

The 10 most intense peaks (10° ≤ 2θ ≤ 90°), sorted by position:
24.53°, rel. 34, (1 0 1); 25.46°, rel. 22, (0 1 2); 28.90°, rel. 27, (1 0 4); 31.25°, rel. 100, (0 1 5); 36.86°, rel. 22, (1 0 7); 42.59°, rel. 45, (1 1 0); 46.88°, rel. 23, (1 0 10); 53.76°, rel. 20, (2 0 5); 65.98°, rel. 13, (1 1 12); 70.90°, rel. 21, (1 2 5)

Atomic structure:
Lattice parameters (Å, degrees): 4.2453 4.2453 22.8071 90.00 90.00 120.00
Space group R3m (No. 160, hexagonal axes)
Unique sites:
Sr (0.0000, 0.0000, 0.0000) (multiplicity 3)
Sr (0.0000, 0.0000, 0.1877) (multiplicity 3)
S (0.0000, 0.0000, 0.5889) (multiplicity 3)
Cl (0.0000, 0.0000, 0.7684) (multiplicity 3)